# Lu3Ge13Ir4
Computed powder X-ray diffraction pattern, Cu Ka. Input: a DFT-relaxed cell (GGA-PBE, the Materials Project).

Most intense lines, 2θ from 10° to 90°, most intense first:
2θ/deg	I/Imax
35.94	100
34.48	58
40.03	54
49.57	48
37.35	41
19.71	40
69.17	40
45.00	36
28.01	24
57.90	22

Crystal structure
abc: 9.009 9.009 9.009
angles: 90.00 90.00 90.00
Element x y z (fractional)
Lu (0.000, 0.250, 0.500)
Lu (0.000, 0.750, 0.500)
Lu (0.250, 0.500, 0.000)
Lu (0.500, 0.000, 0.250)
Lu (0.500, 0.000, 0.750)
Lu (0.750, 0.500, 0.000)
Ge (0.000, 0.000, 0.000)
Ge (0.000, 0.310, 0.145)
Ge (0.000, 0.310, 0.855)
Ge (0.000, 0.690, 0.145)
Ge (0.000, 0.690, 0.855)
Ge (0.145, 0.000, 0.310)
Ge (0.145, 0.000, 0.690)
Ge (0.190, 0.500, 0.355)
Ge (0.190, 0.500, 0.645)
Ge (0.310, 0.145, 0.000)
Ge (0.310, 0.855, 0.000)
Ge (0.355, 0.190, 0.500)
Ge (0.355, 0.810, 0.500)
Ge (0.500, 0.355, 0.190)
Ge (0.500, 0.355, 0.810)
Ge (0.500, 0.500, 0.500)
Ge (0.500, 0.645, 0.190)
Ge (0.500, 0.645, 0.810)
Ge (0.645, 0.190, 0.500)
Ge (0.645, 0.810, 0.500)
Ge (0.690, 0.145, 0.000)
Ge (0.690, 0.855, 0.000)
Ge (0.810, 0.500, 0.355)
Ge (0.810, 0.500, 0.645)
Ge (0.855, 0.000, 0.310)
Ge (0.855, 0.000, 0.690)
Ir (0.250, 0.250, 0.250)
Ir (0.250, 0.250, 0.750)
Ir (0.250, 0.750, 0.250)
Ir (0.250, 0.750, 0.750)
Ir (0.750, 0.250, 0.250)
Ir (0.750, 0.250, 0.750)
Ir (0.750, 0.750, 0.250)
Ir (0.750, 0.750, 0.750)


# NaYB4H16
Computed powder X-ray diffraction pattern, Cu Ka. Input: a DFT-relaxed cell (GGA-PBE, the Materials Project).

Most intense lines, 2θ from 10° to 90°, most intense first:
2θ/deg	I/Imax
15.77	100
17.32	57
23.02	36
23.99	26
20.47	24
26.94	23
40.94	14
33.28	13
30.95	13
31.74	12

Crystal structure
abc: 7.530 7.530 9.217
angles: 90.00 90.00 109.65
Element x y z (fractional)
Na (0.062, 0.062, 0.000)
Na (0.938, 0.938, 0.500)
Y (0.348, 0.652, 0.250)
Y (0.652, 0.348, 0.750)
B (0.228, 0.301, 0.250)
B (0.229, 0.768, 0.468)
B (0.232, 0.771, 0.032)
B (0.301, 0.228, 0.750)
B (0.699, 0.772, 0.250)
B (0.768, 0.229, 0.532)
B (0.771, 0.232, 0.968)
B (0.772, 0.699, 0.750)
H (0.100, 0.698, 0.379)
H (0.103, 0.370, 0.275)
H (0.105, 0.646, 0.095)
H (0.131, 0.165, 0.745)
H (0.165, 0.131, 0.255)
H (0.175, 0.824, 0.924)
H (0.176, 0.825, 0.576)
H (0.294, 0.643, 0.500)
H (0.296, 0.359, 0.129)
H (0.302, 0.900, 0.121)
H (0.354, 0.895, 0.405)
H (0.355, 0.363, 0.340)
H (0.357, 0.706, 0.000)
H (0.359, 0.296, 0.871)
H (0.363, 0.355, 0.660)
H (0.370, 0.103, 0.725)
H (0.630, 0.897, 0.225)
H (0.637, 0.645, 0.160)
H (0.641, 0.704, 0.371)
H (0.643, 0.294, 0.500)
H (0.645, 0.637, 0.840)
H (0.646, 0.105, 0.905)
H (0.698, 0.100, 0.621)
H (0.704, 0.641, 0.629)
H (0.706, 0.357, 0.000)
H (0.824, 0.175, 0.076)
H (0.825, 0.176, 0.424)
H (0.835, 0.869, 0.755)
H (0.869, 0.835, 0.245)
H (0.895, 0.354, 0.595)
H (0.897, 0.630, 0.775)
H (0.900, 0.302, 0.879)


# BaTl4
Computed powder X-ray diffraction pattern, Cu Ka. Input: a DFT-relaxed cell (GGA-PBE, the Materials Project).

Most intense lines, 2θ from 10° to 90°, most intense first:
2θ/deg	I/Imax
30.26	100
32.27	78
28.49	64
33.65	43
28.80	37
27.48	37
38.71	28
31.10	26
42.89	25
51.58	24

Crystal structure
abc: 7.110 7.110 10.794
angles: 117.03 117.03 45.93
Element x y z (fractional)
Ba (0.183, 0.183, 0.212)
Ba (0.817, 0.817, 0.788)
Tl (0.116, 0.116, 0.813)
Tl (0.154, 0.154, 0.544)
Tl (0.401, 0.401, 0.045)
Tl (0.450, 0.450, 0.614)
Tl (0.550, 0.550, 0.386)
Tl (0.599, 0.599, 0.955)
Tl (0.846, 0.846, 0.456)
Tl (0.884, 0.884, 0.187)


# Rb2LiTmCl6
Computed powder X-ray diffraction pattern, Cu Ka. Input: a DFT-relaxed cell (GGA-PBE, the Materials Project).

Most intense lines, 2θ from 10° to 90°, most intense first:
2θ/deg	I/Imax
24.18	100
34.46	86
14.74	74
49.53	57
28.44	48
42.54	47
29.73	27
82.96	25
67.31	25
37.66	23

Crystal structure
abc: 7.361 7.361 7.361
angles: 60.00 60.00 60.00
Element x y z (fractional)
Rb (0.250, 0.250, 0.250)
Rb (0.750, 0.750, 0.750)
Li (0.000, 0.000, 0.000)
Tm (0.500, 0.500, 0.500)
Cl (0.250, 0.250, 0.750)
Cl (0.250, 0.750, 0.250)
Cl (0.250, 0.750, 0.750)
Cl (0.750, 0.250, 0.250)
Cl (0.750, 0.250, 0.750)
Cl (0.750, 0.750, 0.250)


# MnS2
Computed powder X-ray diffraction pattern, Cu Ka. Input: a DFT-relaxed cell (GGA-PBE, the Materials Project).

Most intense lines, 2θ from 10° to 90°, most intense first:
2θ/deg	I/Imax
37.54	100
16.02	84
54.14	62
30.95	34
67.75	20
49.42	17
56.84	15
41.06	10
80.12	9
70.14	8

Crystal structure
abc: 6.776 6.776 6.776
angles: 60.00 60.00 60.00
Element x y z (fractional)
Mn (0.000, 0.000, 0.000)
Mn (0.000, 0.000, 0.500)
Mn (0.000, 0.500, 0.000)
Mn (0.500, 0.000, 0.000)
S (0.233, 0.756, 0.756)
S (0.244, 0.244, 0.244)
S (0.244, 0.244, 0.767)
S (0.244, 0.767, 0.244)
S (0.756, 0.233, 0.756)
S (0.756, 0.756, 0.233)
S (0.756, 0.756, 0.756)
S (0.767, 0.244, 0.244)


# BaPIr
Computed powder X-ray diffraction pattern, Cu Ka. Input: a DFT-relaxed cell (GGA-PBE, the Materials Project).

Most intense lines, 2θ from 10° to 90°, most intense first:
2θ/deg	I/Imax
30.51	100
33.51	86
52.25	54
65.27	18
23.52	18
78.65	17
56.16	16
45.95	14
61.72	13
58.05	10

Crystal structure
abc: 6.551 6.551 6.551
angles: 90.00 90.00 90.00
Element x y z (fractional)
Ba (0.126, 0.126, 0.126)
Ba (0.374, 0.874, 0.626)
Ba (0.626, 0.374, 0.874)
Ba (0.874, 0.626, 0.374)
P (0.154, 0.346, 0.654)
P (0.346, 0.654, 0.154)
P (0.654, 0.154, 0.346)
P (0.846, 0.846, 0.846)
Ir (0.097, 0.597, 0.903)
Ir (0.403, 0.403, 0.403)
Ir (0.597, 0.903, 0.097)
Ir (0.903, 0.097, 0.597)


# CuC8S4N4Cl
Computed powder X-ray diffraction pattern, Cu Ka. Input: a DFT-relaxed cell (GGA-PBE, the Materials Project).

Most intense lines, 2θ from 10° to 90°, most intense first:
2θ/deg	I/Imax
12.94	100
22.19	93
17.95	72
31.81	56
28.94	39
39.89	28
25.77	25
48.26	20
36.97	16
41.75	14

Crystal structure
abc: 10.032 10.032 10.032
angles: 94.00 94.00 149.36
Element x y z (fractional)
Cu (0.000, 0.000, 0.000)
C (0.047, 0.734, 0.192)
C (0.144, 0.953, 0.686)
C (0.149, 0.090, 0.702)
C (0.266, 0.458, 0.314)
C (0.388, 0.446, 0.298)
C (0.542, 0.856, 0.808)
C (0.554, 0.851, 0.942)
C (0.910, 0.612, 0.058)
S (0.114, 0.180, 0.808)
S (0.373, 0.307, 0.192)
S (0.693, 0.886, 0.066)
S (0.820, 0.627, 0.934)
N (0.141, 0.831, 0.684)
N (0.147, 0.457, 0.316)
N (0.169, 0.853, 0.311)
N (0.543, 0.859, 0.689)
Cl (0.250, 0.750, 0.500)